Starting from the PBE geometry in the Materials Project, the XRD peak list of Be2TlF5 was computed for Cu Kα X-rays.
Neutral-atom scattering factors, no anomalous dispersion.

Structure:
Lattice parameters (Å, degrees): 8.186 4.715 12.805 90.00 91.27 90.00
Space group C2/c (No. 15)
One atom of each set of equivalent atoms:
Be (0.168, 0.025, 0.205) [8 per cell]
Tl (0.000, 0.500, 0.000) [4 per cell]
F (0.000, 0.077, 0.750) [4 per cell]
F (0.171, 0.006, 0.587) [8 per cell]
F (0.193, 0.345, 0.238) [8 per cell]

Main lines, by intensity (10° ≤ 2θ ≤ 90°):
- hkl 1 1 0, 2θ 21.7, I = 100
- hkl 1 1 2, 2θ 26.0, I = 99
- hkl 0 0 2, 2θ 13.8, I = 71
- hkl 2 0 -2, 2θ 25.6, I = 54
- hkl 1 1 -2, 2θ 25.7, I = 50
- hkl 0 2 0, 2θ 38.1, I = 48
- hkl 0 0 4, 2θ 27.9, I = 42
- hkl 1 1 4, 2θ 35.8, I = 37
- hkl 3 1 -2, 2θ 40.5, I = 32
- hkl 3 1 2, 2θ 41.0, I = 30

***

Starting from the PBE geometry in the Materials Project, the XRD peak list of Mg5Zn was computed for Cu Kα X-rays.
Neutral-atom scattering factors, no anomalous dispersion.

Structure:
Lattice parameters (Å, degrees): 3.1109 3.1109 15.3605 90.00 90.00 120.00
Space group P-6m2 (No. 187)
One atom of each set of equivalent atoms:
Mg (0.0000, 0.0000, 0.0000) [1 per cell]
Mg (0.0000, 0.0000, 0.3503) [2 per cell]
Mg (0.6667, 0.3333, 0.1734) [2 per cell]
Zn (0.6667, 0.3333, 0.5000) [1 per cell]

Main lines, by intensity (10° ≤ 2θ ≤ 90°):
- hkl 1 0 3, 2θ 37.7, I = 100
- hkl 1 0 0, 2θ 33.3, I = 28
- hkl 0 0 2, 2θ 11.5, I = 25
- hkl 0 0 6, 2θ 35.1, I = 24
- hkl 1 0 6, 2θ 49.1, I = 17
- hkl 1 1 6, 2θ 70.9, I = 17
- hkl 1 1 0, 2θ 59.4, I = 17
- hkl 1 0 9, 2θ 64.6, I = 16
- hkl 2 0 3, 2θ 72.6, I = 13
- hkl 1 0 4, 2θ 40.9, I = 11

***

Starting from the PBE geometry in the Materials Project, the XRD peak list of USe was computed for Cu Kα X-rays.
Neutral-atom scattering factors, no anomalous dispersion.

Structure:
Lattice parameters (Å, degrees): 5.732 5.732 5.732 90.00 90.00 90.00
Space group Fm-3m (No. 225)
One atom of each set of equivalent atoms:
U (0.000, 0.000, 0.000) [4 per cell]
Se (0.000, 0.000, 0.500) [4 per cell]

Main lines, by intensity (10° ≤ 2θ ≤ 90°):
- hkl 2 0 0, 2θ 31.2, I = 100
- hkl 2 2 0, 2θ 44.7, I = 75
- hkl 1 1 1, 2θ 26.9, I = 43
- hkl 4 2 0, 2θ 73.9, I = 36
- hkl 4 2 2, 2θ 82.4, I = 27
- hkl 2 2 2, 2θ 55.5, I = 27
- hkl 3 1 1, 2θ 53.0, I = 22
- hkl 4 0 0, 2θ 65.1, I = 13
- hkl 3 3 1, 2θ 71.8, I = 10
- hkl 5 1 1, 2θ 88.7, I = 8